The following is a calculated X-ray diffraction stick pattern of PuBe2Ni2O6. It was derived from a cell relaxed with GGA+U, using Cu Kα X-rays.
Intensities are scaled so that the largest is 100.

Crystal structure
```
data_PuBe2Ni2O6
_chemical_formula_sum 'Pu1 Be2 Ni2 O6'
_cell_length_a 5.1667
_cell_length_b 5.1667
_cell_length_c 5.5665
_cell_angle_alpha 90.00
_cell_angle_beta 90.00
_cell_angle_gamma 120.00
_space_group_name_H-M_alt 'P 1'
_space_group_IT_number 1
loop_
_space_group_symop_operation_xyz
'x,y,z'
loop_
_atom_site_label
_atom_site_fract_x
_atom_site_fract_y
_atom_site_fract_z
Pu1 0.0000 0.0000 0.0000
Be1 0.3333 0.6667 0.7913
Be2 0.6667 0.3333 0.2087
Ni1 0.3333 0.6667 0.3562
Ni2 0.6667 0.3333 0.6438
O1 0.0357 0.6663 0.7620
O2 0.3337 0.3694 0.7620
O3 0.3694 0.0357 0.2380
O4 0.6306 0.9643 0.7620
O5 0.6663 0.6306 0.2380
O6 0.9643 0.3337 0.2380
```

Largest 12 diffraction maxima, in order of rising 2θ, 2θ from 10° to 80°:
Position (°2θ), d_spacing, I (rel.), (hkl)
15.92, 5.566, 17, 0 0 1
19.84, 4.475, 26, 1 0 0
25.54, 3.487, 100, 0 1 1
34.73, 2.583, 32, 1 1 0
38.08, 2.363, 37, 1 0 2
38.41, 2.343, 13, 2 -1 1
43.60, 2.076, 26, 2 0 1
48.05, 1.893, 13, 2 -1 2
52.48, 1.744, 13, 0 2 2
56.90, 1.618, 24, 1 2 1
61.53, 1.507, 14, 1 1 3
64.47, 1.445, 15, 3 -1 2